Theoretical X-ray diffraction stick pattern of Na5Zr4Si3P3O24 for CuKα, from DFT lattice parameters and positions (GGA-PBE).
Kinematic intensities with the Lorentz-polarization factor, no thermal factor.

Principal peaks in the range 10 to 90 degrees two-theta, in order of rising 2θ:
- 13.6 deg, rel. 23
- 19.1 deg, rel. 70
- 19.4 deg, rel. 82
- 22.7 deg, rel. 47
- 27.4 deg, rel. 40
- 30.5 deg, rel. 100
- 33.8 deg, rel. 17
- 34.0 deg, rel. 52
- 46.4 deg, rel. 37
- 50.2 deg, rel. 22
- 53.1 deg, rel. 24
- 58.7 deg, rel. 24

a b c (Å): 9.272 9.272 9.272
angles (deg): 58.98 58.98 58.98
Element x y z (fractional)
Na (0.000, 0.641, 0.359)
Na (0.247, 0.247, 0.247)
Na (0.359, 0.000, 0.641)
Na (0.641, 0.359, 0.000)
Na (0.753, 0.753, 0.753)
Zr (0.103, 0.103, 0.103)
Zr (0.399, 0.399, 0.399)
Zr (0.601, 0.601, 0.601)
Zr (0.897, 0.897, 0.897)
Si (0.000, 0.290, 0.710)
Si (0.290, 0.710, 0.000)
Si (0.710, 0.000, 0.290)
P (0.200, 0.800, 0.500)
P (0.500, 0.200, 0.800)
P (0.800, 0.500, 0.200)
O (0.015, 0.263, 0.891)
O (0.025, 0.814, 0.662)
O (0.109, 0.737, 0.985)
O (0.174, 0.322, 0.528)
O (0.186, 0.975, 0.338)
O (0.242, 0.642, 0.451)
O (0.263, 0.891, 0.015)
O (0.322, 0.528, 0.174)
O (0.338, 0.186, 0.975)
O (0.358, 0.758, 0.549)
O (0.451, 0.242, 0.642)
O (0.472, 0.678, 0.826)
O (0.528, 0.174, 0.322)
O (0.549, 0.358, 0.758)
O (0.642, 0.451, 0.242)
O (0.662, 0.025, 0.814)
O (0.678, 0.826, 0.472)
O (0.737, 0.985, 0.109)
O (0.758, 0.549, 0.358)
O (0.814, 0.662, 0.025)
O (0.826, 0.472, 0.678)
O (0.891, 0.015, 0.263)
O (0.975, 0.338, 0.186)
O (0.985, 0.109, 0.737)